Starting from DFT lattice parameters and positions (GGA-PBE), the powder XRD pattern of YAsS was calculated for a wavelength of 1.5418 Å.
Lines closer than 0.1° are merged.

Largest 10 diffraction maxima, by angle, 2θ from 5° to 70°:
h k l	2θ (°)	Rel. int.
2 0 0	10.4	17.8
2 1 0	25.4	46.0
6 0 0	31.5	46.2
2 1 1	34.6	76.4
4 1 1	39.3	100.0
0 0 2	47.2	17.9
0 2 0	47.4	22.5
6 0 2	57.8	13.1
6 2 0	58.0	15.2
10 1 1	64.5	16.1

Crystal structure
```
YAsS
1.0
17.064 0.000 0.000
0.000 3.835 0.000
0.000 0.000 3.853
Y As S
4 4 4
Direct
0.146 0.250 0.218 Y
0.354 0.750 0.718 Y
0.646 0.250 0.282 Y
0.854 0.750 0.782 Y
0.002 0.250 0.718 As
0.498 0.750 0.218 As
0.502 0.250 0.782 As
0.998 0.750 0.282 As
0.187 0.750 0.718 S
0.313 0.250 0.218 S
0.687 0.750 0.782 S
0.813 0.250 0.282 S
```